[1]
Starting from a crystal structure in the Materials Project, relaxed with GGA+U, the X-ray powder pattern of Na2MnPCO7 was computed for Cu Kα (weighted mean of Kα1 and Kα2).
Peak positions follow from Bragg's law for the DFT cell and can differ from measured ones.

Structural model:
Cell: 8.519 8.533 10.246 Å, 107.05 107.83 104.92°
Space group P1 (No. 1)
Unique sites:
Na  0.000  0.000  0.000 (multiplicity 1)
Na  0.006  0.023  0.505 (multiplicity 1)
Na  0.226  0.751  0.984 (multiplicity 1)
Na  0.468  0.506  0.490 (multiplicity 1)
Na  0.482  0.497  0.985 (multiplicity 1)
Na  0.671  0.954  0.658 (multiplicity 1)
Na  0.730  0.269  0.001 (multiplicity 1)
Na  0.753  0.265  0.499 (multiplicity 1)
Mn  0.177  0.447  0.103 (multiplicity 1)
Mn  0.299  0.059  0.395 (multiplicity 1)
Mn  0.685  0.952  0.096 (multiplicity 1)
Mn  0.805  0.569  0.395 (multiplicity 1)
P  0.047  0.314  0.326 (multiplicity 1)
P  0.427  0.202  0.169 (multiplicity 1)
P  0.558  0.824  0.324 (multiplicity 1)
P  0.933  0.698  0.166 (multiplicity 1)
C  0.006  0.275  0.818 (multiplicity 1)
C  0.465  0.234  0.671 (multiplicity 1)
C  0.520  0.785  0.820 (multiplicity 1)
C  0.963  0.735  0.671 (multiplicity 1)
O  0.015  0.793  0.582 (multiplicity 1)
O  0.017  0.589  0.079 (multiplicity 1)
O  0.032  0.809  0.812 (multiplicity 1)
O  0.075  0.846  0.318 (multiplicity 1)
O  0.152  0.422  0.894 (multiplicity 1)
O  0.154  0.234  0.418 (multiplicity 1)
O  0.181  0.445  0.291 (multiplicity 1)
O  0.295  0.063  0.199 (multiplicity 1)
O  0.317  0.284  0.078 (multiplicity 1)
O  0.321  0.087  0.601 (multiplicity 1)
O  0.409  0.682  0.173 (multiplicity 1)
O  0.456  0.710  0.682 (multiplicity 1)
O  0.464  0.734  0.912 (multiplicity 1)
O  0.494  0.944  0.422 (multiplicity 1)
O  0.511  0.104  0.076 (multiplicity 1)
O  0.518  0.285  0.577 (multiplicity 1)
O  0.543  0.312  0.811 (multiplicity 1)
O  0.571  0.348  0.322 (multiplicity 1)
O  0.658  0.743  0.422 (multiplicity 1)
O  0.664  0.937  0.894 (multiplicity 1)
O  0.698  0.951  0.289 (multiplicity 1)
O  0.796  0.566  0.199 (multiplicity 1)
O  0.819  0.584  0.597 (multiplicity 1)
O  0.829  0.773  0.066 (multiplicity 1)
O  0.905  0.168  0.168 (multiplicity 1)
O  0.935  0.202  0.676 (multiplicity 1)
O  0.940  0.212  0.899 (multiplicity 1)
O  0.955  0.409  0.410 (multiplicity 1)

Most intense lines, 2θ = 10–90°, by angle:
Position (°2θ), d_spacing, intensity, hkl
16.4, 5.414, 36, -1 1 1
16.5, 5.362, 37, 1 -1 1
19.9, 4.456, 35, 1 1 -2
21.6, 4.119, 35, 2 0 -1
23.9, 3.718, 37, 0 2 -2
26.1, 3.413, 64, 1 1 1
26.4, 3.380, 100, 2 -2 0
33.1, 2.703, 53, -2 2 2
33.4, 2.684, 44, 2 -2 2
34.5, 2.598, 96, 2 2 -2


[2]
Starting from a crystal structure in the Materials Project, relaxed with GGA+U, the X-ray powder pattern of NaMnPCO7 was computed for Cu Kα (weighted mean of Kα1 and Kα2).
Peak positions follow from Bragg's law for the DFT cell and can differ from measured ones.

Structural model:
Cell: 6.253 9.091 10.474 Å, 91.97 90.23 91.34°
Space group P1 (No. 1)
Unique sites:
Na  0.000  0.000  0.000 (multiplicity 1)
Na  0.001  0.001  0.502 (multiplicity 1)
Na  0.054  0.482  0.757 (multiplicity 1)
Na  0.493  0.481  0.257 (multiplicity 1)
Mn  0.286  0.898  0.272 (multiplicity 1)
Mn  0.290  0.899  0.772 (multiplicity 1)
Mn  0.774  0.582  0.989 (multiplicity 1)
Mn  0.777  0.582  0.489 (multiplicity 1)
P  0.277  0.673  0.022 (multiplicity 1)
P  0.277  0.673  0.522 (multiplicity 1)
P  0.779  0.808  0.239 (multiplicity 1)
P  0.782  0.808  0.739 (multiplicity 1)
C  0.270  0.163  0.246 (multiplicity 1)
C  0.284  0.164  0.746 (multiplicity 1)
C  0.766  0.316  0.515 (multiplicity 1)
C  0.771  0.317  0.015 (multiplicity 1)
O  0.082  0.566  0.496 (multiplicity 1)
O  0.082  0.570  0.985 (multiplicity 1)
O  0.258  0.296  0.230 (multiplicity 1)
O  0.268  0.814  0.446 (multiplicity 1)
O  0.276  0.062  0.151 (multiplicity 1)
O  0.276  0.815  0.946 (multiplicity 1)
O  0.277  0.714  0.168 (multiplicity 1)
O  0.279  0.298  0.731 (multiplicity 1)
O  0.279  0.715  0.668 (multiplicity 1)
O  0.280  0.099  0.357 (multiplicity 1)
O  0.286  0.063  0.651 (multiplicity 1)
O  0.286  0.100  0.857 (multiplicity 1)
O  0.468  0.572  0.994 (multiplicity 1)
O  0.469  0.576  0.483 (multiplicity 1)
O  0.589  0.909  0.270 (multiplicity 1)
O  0.593  0.908  0.772 (multiplicity 1)
O  0.760  0.381  0.404 (multiplicity 1)
O  0.766  0.417  0.110 (multiplicity 1)
O  0.769  0.183  0.530 (multiplicity 1)
O  0.771  0.417  0.610 (multiplicity 1)
O  0.771  0.665  0.315 (multiplicity 1)
O  0.772  0.182  0.030 (multiplicity 1)
O  0.776  0.381  0.904 (multiplicity 1)
O  0.784  0.665  0.815 (multiplicity 1)
O  0.788  0.767  0.094 (multiplicity 1)
O  0.789  0.767  0.594 (multiplicity 1)
O  0.975  0.910  0.275 (multiplicity 1)
O  0.979  0.911  0.773 (multiplicity 1)

Most intense lines, 2θ = 10–90°, by angle:
Position (°2θ), d_spacing, intensity, hkl
17.0, 5.207, 59, 1 -1 0
17.4, 5.094, 55, 1 1 0
19.3, 4.604, 60, 0 1 -2
19.9, 4.468, 64, 0 1 2
22.1, 4.023, 28, 1 0 -2
24.7, 3.608, 40, 1 1 2
25.5, 3.490, 80, 0 2 -2
26.4, 3.373, 29, 0 2 2
28.6, 3.126, 100, 2 0 0
34.3, 2.617, 48, 0 0 4


[3]
Starting from a crystal structure in the Materials Project, relaxed with GGA+U, the X-ray powder pattern of Na5Mn2P2C2O14 was computed for Cu Kα (weighted mean of Kα1 and Kα2).
Peak positions follow from Bragg's law for the DFT cell and can differ from measured ones.

Structural model:
Cell: 5.203 6.845 9.017 Å, 90.00 90.32 90.00°
Space group Pm (No. 6)
Unique sites:
Na  0.000  0.000  0.000 (multiplicity 1)
Na  0.005  0.256  0.671 (multiplicity 2)
Na  0.515  0.243  0.175 (multiplicity 2)
Mn  0.539  0.000  0.560 (multiplicity 1)
Mn  0.980  0.500  0.275 (multiplicity 1)
P  0.060  0.000  0.334 (multiplicity 1)
P  0.469  0.500  0.500 (multiplicity 1)
C  0.035  0.500  0.998 (multiplicity 1)
C  0.494  0.000  0.858 (multiplicity 1)
O  0.039  0.500  0.860 (multiplicity 1)
O  0.167  0.500  0.465 (multiplicity 1)
O  0.236  0.500  0.086 (multiplicity 1)
O  0.288  0.000  0.775 (multiplicity 1)
O  0.359  0.000  0.347 (multiplicity 1)
O  0.475  0.000  0.001 (multiplicity 1)
O  0.534  0.315  0.588 (multiplicity 2)
O  0.606  0.500  0.345 (multiplicity 1)
O  0.718  0.000  0.795 (multiplicity 1)
O  0.816  0.500  0.074 (multiplicity 1)
O  0.942  0.000  0.491 (multiplicity 1)
O  0.975  0.182  0.242 (multiplicity 2)

Most intense lines, 2θ = 10–90°, by angle:
Position (°2θ), d_spacing, intensity, hkl
16.3, 5.452, 32, 0 1 1
19.7, 4.507, 32, 1 0 -1
23.7, 3.759, 17, 1 1 1
26.1, 3.421, 89, 0 2 0
32.9, 2.726, 100, 0 2 2
34.4, 2.604, 68, 2 0 0
37.0, 2.428, 15, 1 1 3
42.1, 2.145, 16, 2 1 -2
48.3, 1.883, 35, 0 2 4
53.5, 1.712, 33, 0 4 0


[4]
Starting from a crystal structure in the Materials Project, relaxed with GGA+U, the X-ray powder pattern of Na2MnPCO7 was computed for Cu Kα (weighted mean of Kα1 and Kα2).
Peak positions follow from Bragg's law for the DFT cell and can differ from measured ones.

Structural model:
Cell: 8.505 8.531 8.966 Å, 91.09 90.19 104.39°
Space group P1 (No. 1)
Unique sites:
Na  0.000  0.000  0.000 (multiplicity 1)
Na  0.008  0.507  0.487 (multiplicity 1)
Na  0.235  0.762  0.981 (multiplicity 1)
Na  0.473  0.996  0.505 (multiplicity 1)
Na  0.494  0.507  0.980 (multiplicity 1)
Na  0.723  0.751  0.497 (multiplicity 1)
Na  0.732  0.268  0.999 (multiplicity 1)
Na  0.890  0.144  0.656 (multiplicity 1)
Mn  0.099  0.366  0.100 (multiplicity 1)
Mn  0.127  0.903  0.392 (multiplicity 1)
Mn  0.596  0.870  0.096 (multiplicity 1)
Mn  0.619  0.397  0.393 (multiplicity 1)
P  0.342  0.615  0.316 (multiplicity 1)
P  0.382  0.149  0.166 (multiplicity 1)
P  0.833  0.107  0.325 (multiplicity 1)
P  0.882  0.653  0.168 (multiplicity 1)
C  0.097  0.867  0.667 (multiplicity 1)
C  0.116  0.392  0.821 (multiplicity 1)
C  0.601  0.368  0.668 (multiplicity 1)
C  0.634  0.902  0.817 (multiplicity 1)
O  0.013  0.280  0.901 (multiplicity 1)
O  0.031  0.804  0.198 (multiplicity 1)
O  0.088  0.863  0.806 (multiplicity 1)
O  0.102  0.391  0.683 (multiplicity 1)
O  0.191  0.466  0.285 (multiplicity 1)
O  0.206  0.979  0.597 (multiplicity 1)
O  0.222  0.492  0.904 (multiplicity 1)
O  0.252  0.208  0.076 (multiplicity 1)
O  0.281  0.739  0.411 (multiplicity 1)
O  0.315  0.075  0.315 (multiplicity 1)
O  0.404  0.681  0.161 (multiplicity 1)
O  0.444  0.026  0.067 (multiplicity 1)
O  0.476  0.563  0.402 (multiplicity 1)
O  0.504  0.265  0.580 (multiplicity 1)
O  0.524  0.793  0.889 (multiplicity 1)
O  0.531  0.299  0.199 (multiplicity 1)
O  0.605  0.363  0.808 (multiplicity 1)
O  0.638  0.909  0.676 (multiplicity 1)
O  0.676  0.964  0.288 (multiplicity 1)
O  0.703  0.483  0.593 (multiplicity 1)
O  0.736  0.002  0.904 (multiplicity 1)
O  0.753  0.713  0.078 (multiplicity 1)
O  0.781  0.237  0.421 (multiplicity 1)
O  0.815  0.583  0.320 (multiplicity 1)
O  0.908  0.174  0.175 (multiplicity 1)
O  0.940  0.524  0.074 (multiplicity 1)
O  0.945  0.033  0.421 (multiplicity 1)
O  0.998  0.769  0.574 (multiplicity 1)

Most intense lines, 2θ = 10–90°, by angle:
Position (°2θ), d_spacing, intensity, hkl
16.4, 5.407, 31, 1 -1 1
16.5, 5.356, 31, -1 1 1
19.5, 4.547, 26, 1 1 -1
19.8, 4.477, 28, 1 1 1
21.5, 4.124, 32, 2 0 0
26.0, 3.432, 53, 1 1 -2
26.5, 3.366, 100, 2 -2 0
33.3, 2.694, 35, -3 1 1
34.4, 2.610, 59, 2 2 0
54.5, 1.682, 29, 4 -4 0


[5]
Starting from a crystal structure in the Materials Project, relaxed with GGA+U, the X-ray powder pattern of Na5Mn2P2C2O14 was computed for Cu Kα (weighted mean of Kα1 and Kα2).
Peak positions follow from Bragg's law for the DFT cell and can differ from measured ones.

Structural model:
Cell: 9.074 6.618 10.591 Å, 90.00 90.75 90.00°
Space group P2_1/m (No. 11)
Unique sites:
Na  0.079  0.250  0.119 (multiplicity 2)
Na  0.238  0.501  0.386 (multiplicity 4)
Na  0.256  0.007  0.869 (multiplicity 4)
Mn  0.355  0.750  0.112 (multiplicity 2)
Mn  0.358  0.750  0.611 (multiplicity 2)
P  0.420  0.250  0.150 (multiplicity 2)
P  0.424  0.250  0.648 (multiplicity 2)
C  0.066  0.750  0.130 (multiplicity 2)
C  0.070  0.750  0.641 (multiplicity 2)
O  0.070  0.250  0.354 (multiplicity 2)
O  0.075  0.250  0.875 (multiplicity 2)
O  0.137  0.750  0.022 (multiplicity 2)
O  0.142  0.750  0.534 (multiplicity 2)
O  0.144  0.750  0.233 (multiplicity 2)
O  0.151  0.750  0.744 (multiplicity 2)
O  0.324  0.065  0.113 (multiplicity 4)
O  0.333  0.060  0.609 (multiplicity 4)
O  0.422  0.750  0.413 (multiplicity 2)
O  0.430  0.750  0.916 (multiplicity 2)
O  0.442  0.250  0.796 (multiplicity 2)
O  0.445  0.250  0.298 (multiplicity 2)

Most intense lines, 2θ = 10–90°, by angle:
Position (°2θ), d_spacing, intensity, hkl
16.6, 5.347, 49, 1 1 0
25.7, 3.467, 55, 2 0 -2
26.9, 3.309, 83, 0 2 0
33.4, 2.686, 50, 1 2 -2
33.5, 2.674, 100, 2 2 0
33.9, 2.647, 82, 0 0 4
33.9, 2.641, 31, 3 0 -2
48.6, 1.872, 57, 4 2 0
55.5, 1.655, 35, 0 4 0
66.7, 1.402, 32, 0 4 4


[6]
Starting from a crystal structure in the Materials Project, relaxed with GGA+U, the X-ray powder pattern of Na2MnPCO7 was computed for Cu Kα (weighted mean of Kα1 and Kα2).
Peak positions follow from Bragg's law for the DFT cell and can differ from measured ones.

Structural model:
Cell: 6.780 10.224 10.357 Å, 119.41 90.17 90.40°
Space group P1 (No. 1)
Unique sites:
Na  0.000  0.000  0.000 (multiplicity 1)
Na  0.009  0.005  0.523 (multiplicity 1)
Na  0.260  0.842  0.202 (multiplicity 1)
Na  0.487  0.001  0.004 (multiplicity 1)
Na  0.504  0.513  0.519 (multiplicity 1)
Na  0.515  0.498  0.014 (multiplicity 1)
Na  0.979  0.499  0.013 (multiplicity 1)
Na  0.989  0.512  0.519 (multiplicity 1)
Mn  0.244  0.401  0.195 (multiplicity 1)
Mn  0.247  0.398  0.698 (multiplicity 1)
Mn  0.738  0.105  0.826 (multiplicity 1)
Mn  0.740  0.104  0.334 (multiplicity 1)
P  0.243  0.175  0.830 (multiplicity 1)
P  0.244  0.173  0.322 (multiplicity 1)
P  0.745  0.332  0.199 (multiplicity 1)
P  0.748  0.334  0.697 (multiplicity 1)
C  0.243  0.681  0.362 (multiplicity 1)
C  0.247  0.681  0.869 (multiplicity 1)
C  0.747  0.828  0.664 (multiplicity 1)
C  0.749  0.827  0.164 (multiplicity 1)
O  0.057  0.084  0.818 (multiplicity 1)
O  0.064  0.074  0.309 (multiplicity 1)
O  0.234  0.209  0.189 (multiplicity 1)
O  0.235  0.820  0.428 (multiplicity 1)
O  0.240  0.210  0.696 (multiplicity 1)
O  0.242  0.332  0.973 (multiplicity 1)
O  0.243  0.823  0.945 (multiplicity 1)
O  0.246  0.593  0.420 (multiplicity 1)
O  0.248  0.325  0.469 (multiplicity 1)
O  0.248  0.607  0.723 (multiplicity 1)
O  0.249  0.604  0.213 (multiplicity 1)
O  0.250  0.595  0.930 (multiplicity 1)
O  0.428  0.089  0.827 (multiplicity 1)
O  0.429  0.077  0.296 (multiplicity 1)
O  0.559  0.422  0.209 (multiplicity 1)
O  0.560  0.423  0.706 (multiplicity 1)
O  0.738  0.903  0.812 (multiplicity 1)
O  0.744  0.921  0.112 (multiplicity 1)
O  0.745  0.301  0.831 (multiplicity 1)
O  0.746  0.179  0.053 (multiplicity 1)
O  0.746  0.299  0.334 (multiplicity 1)
O  0.749  0.688  0.592 (multiplicity 1)
O  0.750  0.687  0.085 (multiplicity 1)
O  0.751  0.897  0.310 (multiplicity 1)
O  0.751  0.918  0.609 (multiplicity 1)
O  0.757  0.181  0.551 (multiplicity 1)
O  0.931  0.426  0.211 (multiplicity 1)
O  0.934  0.430  0.714 (multiplicity 1)

Most intense lines, 2θ = 10–90°, by angle:
Position (°2θ), d_spacing, intensity, hkl
16.4, 5.420, 35, 1 -1 0
16.5, 5.374, 43, 1 1 0
21.6, 4.114, 36, 1 -1 2
24.0, 3.714, 37, 1 2 -2
26.2, 3.406, 62, 0 1 2
26.3, 3.390, 100, 2 0 0
33.2, 2.700, 42, 2 0 2
33.3, 2.688, 44, 2 2 0
34.6, 2.591, 94, 0 2 -4
54.1, 1.695, 39, 4 0 0


[7]
Starting from a crystal structure in the Materials Project, relaxed with GGA+U, the X-ray powder pattern of Na5Mn2P2C2O14 was computed for Cu Kα (weighted mean of Kα1 and Kα2).
Peak positions follow from Bragg's law for the DFT cell and can differ from measured ones.

Structural model:
Cell: 6.635 9.074 10.527 Å, 90.91 90.25 90.30°
Space group P1 (No. 1)
Unique sites:
Na  0.000  0.000  0.000 (multiplicity 1)
Na  0.000  0.000  0.486 (multiplicity 1)
Na  0.247  0.821  0.235 (multiplicity 1)
Na  0.264  0.836  0.734 (multiplicity 1)
Na  0.265  0.339  0.980 (multiplicity 1)
Na  0.267  0.336  0.495 (multiplicity 1)
Na  0.519  0.154  0.230 (multiplicity 1)
Na  0.751  0.337  0.497 (multiplicity 1)
Na  0.753  0.339  0.978 (multiplicity 1)
Na  0.757  0.835  0.737 (multiplicity 1)
Mn  0.008  0.440  0.221 (multiplicity 1)
Mn  0.011  0.440  0.722 (multiplicity 1)
Mn  0.514  0.732  0.494 (multiplicity 1)
Mn  0.516  0.732  0.007 (multiplicity 1)
P  0.011  0.662  0.463 (multiplicity 1)
P  0.011  0.666  0.959 (multiplicity 1)
P  0.507  0.502  0.260 (multiplicity 1)
P  0.511  0.509  0.760 (multiplicity 1)
C  0.010  0.147  0.746 (multiplicity 1)
C  0.013  0.149  0.247 (multiplicity 1)
C  0.506  0.017  0.977 (multiplicity 1)
C  0.506  0.018  0.472 (multiplicity 1)
O  0.005  0.230  0.351 (multiplicity 1)
O  0.006  0.218  0.137 (multiplicity 1)
O  0.008  0.514  0.025 (multiplicity 1)
O  0.009  0.214  0.637 (multiplicity 1)
O  0.009  0.228  0.849 (multiplicity 1)
O  0.011  0.006  0.750 (multiplicity 1)
O  0.011  0.511  0.529 (multiplicity 1)
O  0.017  0.636  0.318 (multiplicity 1)
O  0.018  0.642  0.812 (multiplicity 1)
O  0.025  0.010  0.249 (multiplicity 1)
O  0.197  0.760  0.502 (multiplicity 1)
O  0.197  0.761  0.000 (multiplicity 1)
O  0.322  0.415  0.724 (multiplicity 1)
O  0.323  0.402  0.226 (multiplicity 1)
O  0.493  0.938  0.369 (multiplicity 1)
O  0.500  0.650  0.193 (multiplicity 1)
O  0.503  0.943  0.084 (multiplicity 1)
O  0.508  0.158  0.984 (multiplicity 1)
O  0.510  0.159  0.469 (multiplicity 1)
O  0.510  0.529  0.408 (multiplicity 1)
O  0.510  0.659  0.693 (multiplicity 1)
O  0.510  0.939  0.874 (multiplicity 1)
O  0.511  0.535  0.910 (multiplicity 1)
O  0.517  0.947  0.580 (multiplicity 1)
O  0.693  0.407  0.223 (multiplicity 1)
O  0.699  0.417  0.725 (multiplicity 1)
O  0.824  0.762  0.989 (multiplicity 1)
O  0.827  0.757  0.503 (multiplicity 1)

Most intense lines, 2θ = 10–90°, by angle:
Position (°2θ), d_spacing, intensity, hkl
16.6, 5.355, 40, 1 1 0
19.4, 4.584, 35, 0 1 -2
25.7, 3.463, 44, 0 2 -2
26.9, 3.317, 100, 2 0 0
33.4, 2.686, 95, 2 -2 0
33.6, 2.671, 29, 2 2 0
34.0, 2.640, 30, 0 3 -2
34.1, 2.631, 79, 0 0 4
41.7, 2.166, 29, 1 2 -4
55.4, 1.659, 33, 4 0 0